Diffraction record for YMgSc2Ga4. The powder diffractogram is computed, not measured: it uses a DFT-relaxed cell (PBE, Alexandria) and copper Kα.
No peak broadening, texture or thermal motion is included.

Structure:
```
data_YMgSc2Ga4
_cell_length_a 4.7854
_cell_length_b 4.7854
_cell_length_c 24.2657
_cell_angle_alpha 90.00
_cell_angle_beta 90.00
_cell_angle_gamma 120.00
_space_group_name_H-M_alt 'R -3 m'
_space_group_IT_number 166
_space_group_name_Hall '-R 3 2"'
loop_
_atom_site_label
_atom_site_fract_x
_atom_site_fract_y
_atom_site_fract_z
Y1 0.0000 0.0000 0.0000
Mg1 0.0000 0.0000 0.5000
Sc1 0.0000 0.0000 0.2436
Ga1 0.0000 0.0000 0.1253
Ga2 0.0000 0.0000 0.3782
```

Principal peaks in the range 2θ = 10–80°, by intensity:
| h k l | two_theta | Rel. int. |
| --- | --- | --- |
| 0 1 8 | 36.72 | 100 |
| 1 1 0 | 37.59 | 96 |
| 2 0 8 | 53.56 | 32 |
| 1 2 8 | 67.27 | 31 |
| 1 0 16 | 65.54 | 16 |
| 3 0 0 | 67.84 | 16 |
| 0 2 16 | 78.09 | 9 |
| 1 0 4 | 26.04 | 7 |

=====

Diffraction record for CsTbRe2O8. The powder diffractogram is computed, not measured: it uses a DFT-relaxed cell (PBE, Alexandria) and copper Kα.
No peak broadening, texture or thermal motion is included.

Structure:
```
data_CsTbRe2O8
_cell_length_a 6.0855
_cell_length_b 6.0855
_cell_length_c 8.4574
_cell_angle_alpha 90.00
_cell_angle_beta 90.00
_cell_angle_gamma 120.00
_space_group_name_H-M_alt 'P -3'
_space_group_IT_number 147
loop_
_space_group_symop_operation_xyz
'x,y,z'
'-x,-y,-z'
'-y,x-y,z'
'y,-x+y,-z'
'-x+y,-x,z'
'x-y,x,-z'
loop_
_atom_site_label
_atom_site_fract_x
_atom_site_fract_y
_atom_site_fract_z
Cs1 0.0000 0.0000 0.0000
Tb1 0.0000 0.0000 0.5000
Re1 0.3333 0.6667 0.7335
O1 0.1710 0.3437 0.6609
O2 0.3333 0.6667 0.9424
```

Principal peaks in the range 2θ = 10–80°, by intensity:
| h k l | two_theta | Rel. int. |
| --- | --- | --- |
| 0 1 1 | 19.85 | 100 |
| 0 1 2 | 27.03 | 76 |
| 1 1 0 | 29.35 | 64 |
| 0 2 2 | 40.33 | 29 |
| 3 -2 2 | 50.66 | 27 |
| 1 1 4 | 52.72 | 25 |
| 1 2 1 | 46.86 | 20 |
| 1 0 3 | 36.13 | 14 |

=====

Diffraction record for Na2ErPbF8. The powder diffractogram is computed, not measured: it uses a DFT-relaxed cell (PBE, Alexandria) and copper Kα.
No peak broadening, texture or thermal motion is included.

Structure:
```
data_Na2ErPbF8
_cell_length_a 3.870
_cell_length_b 5.564
_cell_length_c 7.765
_cell_angle_alpha 90.00
_cell_angle_beta 90.00
_cell_angle_gamma 90.00
_space_group_name_H-M_alt 'P m m m'
_space_group_IT_number 47
loop_
_space_group_symop_operation_xyz
'x,y,z'
'-x,-y,-z'
'-x,-y,z'
'x,y,-z'
'x,-y,-z'
'-x,y,z'
'-x,y,-z'
'x,-y,z'
loop_
_atom_site_label
_atom_site_fract_x
_atom_site_fract_y
_atom_site_fract_z
Na1 0.000 0.000 0.241
Er1 0.500 0.500 0.000
Pb1 0.500 0.500 0.500
F1 0.000 0.265 0.500
F2 0.000 0.275 0.000
F3 0.500 0.266 0.240
```

Principal peaks in the range 2θ = 10–80°, by intensity:
| h k l | two_theta | Rel. int. |
| --- | --- | --- |
| 0 1 2 | 28.06 | 100 |
| 0 1 0 | 15.93 | 61 |
| 0 0 2 | 22.94 | 47 |
| 1 2 2 | 46.51 | 46 |
| 1 1 2 | 36.55 | 26 |
| 0 2 2 | 39.89 | 23 |
| 1 3 0 | 54.88 | 16 |
| 2 1 2 | 55.58 | 15 |

=====

Diffraction record for SmDyErCu. The powder diffractogram is computed, not measured: it uses a DFT-relaxed cell (PBE, Alexandria) and copper Kα.
No peak broadening, texture or thermal motion is included.

Structure:
```
data_SmDyErCu
_cell_length_a 3.496
_cell_length_b 3.496
_cell_length_c 8.678
_cell_angle_alpha 90.00
_cell_angle_beta 90.00
_cell_angle_gamma 90.00
_space_group_name_H-M_alt 'P 4 m m'
_space_group_IT_number 99
loop_
_space_group_symop_operation_xyz
'x,y,z'
'-y,x,z'
'-x,-y,z'
'y,-x,z'
'-x,y,z'
'y,x,z'
'x,-y,z'
'-y,-x,z'
loop_
_atom_site_label
_atom_site_fract_x
_atom_site_fract_y
_atom_site_fract_z
Sm1 0.000 0.000 0.000
Dy1 0.500 0.500 0.692
Er1 0.500 0.500 0.305
Cu1 0.000 0.000 0.493
```

Principal peaks in the range 2θ = 10–80°, by intensity:
| h k l | two_theta | Rel. int. |
| --- | --- | --- |
| 1 0 2 | 32.90 | 100 |
| 1 1 0 | 36.34 | 52 |
| 2 1 2 | 63.22 | 30 |
| 1 0 1 | 27.51 | 27 |
| 1 1 3 | 48.44 | 21 |
| 2 0 0 | 52.34 | 18 |
| 0 0 3 | 30.91 | 18 |
| 1 0 5 | 59.46 | 14 |